Diffraction record for BaNdMnCoO6. The powder diffraction line list is theoretical, not measured: it uses a GGA+U-relaxed structure and Cu Kα (λ = 1.5418 Å).
Intensities are scaled so that the largest is 100.

Structure:
```
BaNdMnCoO6
1.0
3.9182 -3.9345 0.0000
3.9182 3.9345 0.0000
0.0000 0.0000 7.8336
Ba Nd Mn Co O
2 2 2 2 12
Cartesian
3.9182 1.9935 0.0000
3.9182 -1.9935 0.0000
3.9182 2.0545 4.0084
3.9182 -2.0545 4.0084
1.9743 0.0000 2.0294
5.8622 0.0000 2.0294
1.9770 0.0000 5.8763
5.8595 0.0000 5.8763
0.0000 0.0000 1.9992
0.0000 0.0000 5.9075
1.9591 1.9672 2.2240
1.9591 1.9672 5.7131
1.6510 0.0000 3.9600
2.0729 0.0000 0.0860
1.9591 -1.9672 2.2240
1.9591 -1.9672 5.7131
3.9182 0.0000 2.3918
3.9182 0.0000 5.5304
5.7635 0.0000 0.0860
6.1855 0.0000 3.9600
```

Top 10 peaks for 2θ from 10° to 90°, in order of rising 2θ:
- 22.65°, rel. 9
- 32.27°, rel. 100
- 39.80°, rel. 17
- 46.14°, rel. 11
- 46.35°, rel. 21
- 57.46°, rel. 13
- 57.59°, rel. 26
- 67.48°, rel. 12
- 67.64°, rel. 6
- 76.95°, rel. 11